1.
Structure and calculated powder XRD pattern of MgP2RuO8 (the GGA-PBE geometry in Alexandria; CuKα).

Principal peaks in the range 2θ from 10° to 90°, by angle:
Position (°2θ), I/Imax
19.2, 29.6
20.2, 37.7
27.3, 100.0
34.2, 14.6
36.0, 53.4
41.1, 20.0
44.3, 20.3
48.1, 13.3
52.8, 15.4
54.1, 50.9
56.3, 15.2
68.7, 16.5

Structure:
```
12
Lattice="-3.266 3.266 2.964 3.266 -3.266 2.964 3.266 3.266 -2.964" Properties=species:S:1:pos:R:3 pbc="T T T"
Mg 0.000 0.000 0.000
P 0.000 0.000 2.964
P 0.000 3.266 1.482
Ru 3.266 0.000 1.482
O 2.078 3.266 -1.010
O 1.188 0.000 1.954
O 0.000 2.065 0.499
O 3.266 2.078 1.010
O 0.000 4.467 0.499
O 0.000 1.188 3.973
O -1.201 3.266 2.464
O 1.201 3.266 2.464
```

2.
Structure and calculated powder XRD pattern of Ba2AlBi5 (the GGA-PBE geometry in Alexandria; CuKα).

Principal peaks in the range 2θ from 10° to 90°, by angle:
Position (°2θ), I/Imax
14.7, 12.2
28.3, 8.5
29.7, 100.0
34.3, 18.0
34.4, 17.7
34.5, 16.9
49.4, 23.6
49.5, 11.5
58.5, 13.1
58.7, 12.8
58.8, 14.4
61.6, 11.2

Structure:
```
8
Lattice="5.201 -5.235 0.000 5.201 5.235 0.000 -5.193 0.000 5.218" Properties=species:S:1:pos:R:3 pbc="T T T"
Ba 5.201 2.619 0.000
Ba 5.201 -2.619 0.000
Al 1.685 0.000 2.610
Bi -2.598 0.000 5.008
Bi 2.599 2.818 2.608
Bi 4.950 0.000 2.608
Bi 2.599 -2.818 2.608
Bi 7.793 0.000 0.207
```